This entry pairs a crystal structure of Al4ZnNi15 with its computed powder diffraction line list. Radiation: Cu Ka. Structure: a crystal structure in Alexandria, relaxed with PBE.

Most intense lines, 2θ = 10–90°, sorted by position:
| two_theta | I_rel | hkl |
| --- | --- | --- |
| 24.96 | 6 | 1 0 0 |
| 35.59 | 4 | 1 1 0 |
| 43.96 | 100 | 1 1 5 |
| 51.11 | 16 | 0 0 10 |
| 51.26 | 31 | 2 0 0 |
| 63.92 | 1 | 2 1 5 |
| 75.31 | 18 | 2 0 10 |
| 75.43 | 9 | 2 2 0 |

Atomic structure:
Cell lengths 3.564, 3.564, 17.871 Å; angles 90.00, 90.00, 90.00 degrees
Fractional coordinates of all 20 atoms:
Al 0.000 0.000 0.100
Al 0.000 0.000 0.300
Al 0.000 0.000 0.700
Al 0.000 0.000 0.900
Zn 0.000 0.000 0.500
Ni 0.000 0.500 0.000
Ni 0.000 0.500 0.200
Ni 0.000 0.500 0.399
Ni 0.000 0.500 0.601
Ni 0.000 0.500 0.800
Ni 0.500 0.000 0.000
Ni 0.500 0.000 0.200
Ni 0.500 0.000 0.399
Ni 0.500 0.000 0.601
Ni 0.500 0.000 0.800
Ni 0.500 0.500 0.100
Ni 0.500 0.500 0.299
Ni 0.500 0.500 0.500
Ni 0.500 0.500 0.701
Ni 0.500 0.500 0.900